1.
This entry pairs a crystal structure of TlSnTe2Au with its computed powder XRD pattern. Radiation: a wavelength of 1.5418 Å. Structure: a crystal structure in Alexandria, relaxed with PBE.
Kinematic intensities with the Lorentz-polarization factor, no thermal factor.

Structural model:
```
TlSnTe2Au
1.0
8.234 0.000 0.000
0.000 5.244 0.000
-3.102 0.000 8.028
Tl Sn Te Au
2 2 4 2
Cartesian
-0.776 1.015 2.007
-2.327 4.229 6.021
1.790 1.924 6.021
3.341 3.320 2.007
-1.133 1.556 8.009
0.418 3.688 3.995
4.713 1.556 4.033
6.264 3.688 0.019
4.117 0.000 0.000
2.566 0.000 4.014
```

Principal peaks in the range 10° ≤ 2θ ≤ 80°, in order of rising 2θ:
2theta	I (rel.)
20.95	20.4
25.27	100.0
25.68	25.0
27.04	39.3
33.38	23.6
35.67	41.1
36.20	18.6
37.00	36.5
43.25	29.5
45.17	24.3
47.34	20.2
51.87	23.2

=====

2.
This entry pairs a crystal structure of YSnTe3Au with its computed powder XRD pattern. Radiation: a wavelength of 1.5418 Å. Structure: a crystal structure in Alexandria, relaxed with PBE.
Kinematic intensities with the Lorentz-polarization factor, no thermal factor.

Structural model:
```
YSnTe3Au
1.0
8.666 0.000 0.000
0.000 4.290 0.000
-2.546 0.000 9.817
Y Sn Te Au
2 2 6 2
Cartesian
1.151 1.072 1.753
4.968 3.217 8.064
0.646 3.217 7.200
5.473 1.072 2.617
-1.487 1.072 8.413
0.738 1.072 4.789
3.340 3.217 1.344
2.779 1.072 8.474
5.382 3.217 5.029
7.606 3.217 1.405
2.536 3.217 3.989
3.583 1.072 5.828
```

Principal peaks in the range 10° ≤ 2θ ≤ 80°, in order of rising 2θ:
2theta	I (rel.)
10.55	38.1
12.03	34.9
27.25	26.9
27.91	27.1
29.54	32.0
29.79	100.0
32.75	34.0
33.98	53.0
34.47	41.6
42.13	41.1
43.24	21.0
49.61	20.0

=====

3.
This entry pairs a crystal structure of Ti6Sn2Au with its computed powder XRD pattern. Radiation: a wavelength of 1.5418 Å. Structure: a crystal structure in Alexandria, relaxed with PBE.
Kinematic intensities with the Lorentz-polarization factor, no thermal factor.

Structural model:
```
Ti6Sn2Au
1.0
6.094 0.000 0.000
-3.047 5.278 0.000
0.000 0.000 5.319
Ti Sn Au
6 2 1
Cartesian
0.000 1.960 1.701
-1.350 4.298 1.701
1.698 0.980 3.618
1.350 4.298 1.701
4.397 0.980 3.618
3.047 3.317 3.618
0.000 3.518 4.257
3.047 1.759 1.062
0.000 0.000 0.000
```

Principal peaks in the range 10° ≤ 2θ ≤ 80°, in order of rising 2θ:
2theta	I (rel.)
23.75	53.4
29.31	59.1
33.91	62.2
37.89	60.1
38.07	100.0
48.61	34.3
48.76	19.7
54.61	17.3
54.98	18.3
57.78	20.9
60.80	26.5
71.15	26.8

=====

4.
This entry pairs a crystal structure of Tl3Sn3Au8 with its computed powder XRD pattern. Radiation: a wavelength of 1.5418 Å. Structure: a crystal structure in Alexandria, relaxed with PBE.
Kinematic intensities with the Lorentz-polarization factor, no thermal factor.

Structural model:
```
Tl3Sn3Au8
1.0
8.748 -2.221 0.000
8.748 2.221 0.000
-4.952 0.000 8.686
Tl Sn Au
3 3 8
Cartesian
0.000 0.000 0.000
3.265 0.000 3.196
9.279 0.000 5.490
-2.476 0.000 4.343
0.743 0.000 8.656
11.801 0.000 0.030
0.099 0.000 3.305
-1.597 0.000 7.079
2.711 0.000 6.803
6.993 0.000 2.649
5.551 0.000 6.036
9.833 0.000 1.883
14.140 0.000 1.607
12.444 0.000 5.381
```

Principal peaks in the range 10° ≤ 2θ ≤ 80°, in order of rising 2θ:
2theta	I (rel.)
28.00	31.2
30.84	32.4
31.38	100.0
31.68	16.9
32.86	55.5
35.79	16.5
36.57	53.3
39.02	31.7
40.00	22.3
40.62	60.9
41.51	30.1
45.40	18.6

=====

5.
This entry pairs a crystal structure of TlSn2Au2 with its computed powder XRD pattern. Radiation: a wavelength of 1.5418 Å. Structure: a crystal structure in Alexandria, relaxed with PBE.
Kinematic intensities with the Lorentz-polarization factor, no thermal factor.

Structural model:
```
TlSn2Au2
1.0
8.425 0.000 0.000
0.000 8.425 0.000
0.000 0.000 3.431
Tl Sn Au
2 4 4
Cartesian
0.000 0.000 0.000
4.213 4.213 0.000
1.245 2.967 1.716
2.967 7.180 1.716
5.458 1.245 1.716
7.180 5.458 1.716
1.244 5.457 0.000
2.969 1.244 0.000
5.457 7.181 0.000
7.181 2.969 0.000
```

Principal peaks in the range 10° ≤ 2θ ≤ 80°, in order of rising 2θ:
2theta	I (rel.)
25.97	14.1
30.02	16.5
33.64	79.5
35.38	100.0
42.97	26.8
48.31	10.7
52.09	10.7
53.41	11.5
55.65	9.3
62.35	12.3
64.62	23.1
65.58	26.7

=====

6.
This entry pairs a crystal structure of Tl4Sn2Au with its computed powder XRD pattern. Radiation: a wavelength of 1.5418 Å. Structure: a crystal structure in Alexandria, relaxed with PBE.
Kinematic intensities with the Lorentz-polarization factor, no thermal factor.

Structural model:
```
Tl4Sn2Au
1.0
4.546 -4.976 0.000
4.546 4.976 0.000
0.000 0.000 4.686
Tl Sn Au
4 2 1
Cartesian
2.273 2.488 2.343
4.546 3.205 0.000
2.273 -2.488 2.343
4.546 -3.205 0.000
2.943 0.000 0.000
6.149 0.000 0.000
4.546 0.000 2.343
```

Principal peaks in the range 10° ≤ 2θ ≤ 80°, in order of rising 2θ:
2theta	I (rel.)
23.15	16.9
27.33	16.7
28.64	35.1
32.82	100.0
36.10	11.0
36.44	29.1
38.42	25.8
39.65	13.3
48.61	16.9
58.41	11.7
58.91	11.0
65.96	13.9

=====

7.
This entry pairs a crystal structure of Tl2SnAu2 with its computed powder XRD pattern. Radiation: a wavelength of 1.5418 Å. Structure: a crystal structure in Alexandria, relaxed with PBE.
Kinematic intensities with the Lorentz-polarization factor, no thermal factor.

Structural model:
```
Tl2SnAu2
1.0
4.213 0.000 0.000
1.998 3.929 0.000
2.027 1.020 8.233
Tl Sn Au
2 1 2
Cartesian
2.030 1.194 2.924
6.209 3.755 5.308
0.000 0.000 0.000
4.118 2.391 6.906
4.120 2.558 1.326
```

Principal peaks in the range 10° ≤ 2θ ≤ 80°, in order of rising 2θ:
2theta	I (rel.)
29.56	99.0
29.72	97.8
30.02	100.0
37.68	20.3
40.05	53.7
41.10	49.9
42.55	22.3
42.96	45.0
44.12	20.1
49.34	25.9
52.33	21.8
68.36	18.8

=====

8.
This entry pairs a crystal structure of TlSnAu with its computed powder XRD pattern. Radiation: a wavelength of 1.5418 Å. Structure: a crystal structure in Alexandria, relaxed with PBE.
Kinematic intensities with the Lorentz-polarization factor, no thermal factor.

Structural model:
```
TlSnAu
1.0
3.841 0.000 0.000
-0.193 7.013 0.000
-1.708 -3.388 5.920
Tl Sn Au
2 2 2
Cartesian
-0.012 1.917 0.608
1.951 1.708 5.312
0.061 -0.286 3.403
1.879 3.911 2.517
-0.029 4.171 4.584
1.968 -0.546 1.336
```

Principal peaks in the range 10° ≤ 2θ ≤ 80°, in order of rising 2θ:
2theta	I (rel.)
14.55	25.1
29.88	54.9
30.41	100.0
32.20	24.4
32.87	26.0
35.00	38.7
35.77	19.9
39.14	21.1
39.94	39.1
40.21	39.5
41.35	32.9
47.37	29.5

=====

9.
This entry pairs a crystal structure of TlSn6Au3 with its computed powder XRD pattern. Radiation: a wavelength of 1.5418 Å. Structure: a crystal structure in Alexandria, relaxed with PBE.
Kinematic intensities with the Lorentz-polarization factor, no thermal factor.

Structural model:
```
TlSn6Au3
1.0
10.650 0.000 0.000
0.000 4.509 0.000
-0.221 0.000 11.151
Tl Sn Au
2 12 6
Cartesian
2.127 1.127 2.777
8.301 3.382 8.375
0.675 1.127 9.412
0.991 1.127 5.957
1.892 3.382 0.457
3.457 3.382 7.044
4.550 3.382 3.626
4.652 3.382 9.888
5.777 1.127 1.264
5.879 1.127 7.525
6.971 1.127 4.108
8.537 1.127 10.695
9.437 3.382 5.194
9.753 3.382 1.739
0.611 3.382 7.689
3.187 1.127 10.848
3.811 1.127 5.345
6.617 3.382 5.806
7.241 3.382 0.303
9.817 1.127 3.462
```

Principal peaks in the range 10° ≤ 2θ ≤ 80°, in order of rising 2θ:
2theta	I (rel.)
26.20	36.5
26.67	45.1
30.35	52.5
32.45	82.7
34.80	50.7
35.77	69.1
39.06	85.2
40.00	100.0
40.12	49.3
41.42	39.0
42.91	44.9
54.04	29.7

=====

10.
This entry pairs a crystal structure of Tl3SnAu4 with its computed powder XRD pattern. Radiation: a wavelength of 1.5418 Å. Structure: a crystal structure in Alexandria, relaxed with PBE.
Kinematic intensities with the Lorentz-polarization factor, no thermal factor.

Structural model:
```
Tl3SnAu4
1.0
11.791 0.000 0.000
0.000 9.579 0.000
0.000 0.000 7.641
Tl Sn Au
12 4 16
Cartesian
1.093 2.395 1.476
1.751 5.053 4.434
1.751 9.315 4.434
4.144 0.263 0.614
4.144 4.526 0.614
4.803 7.184 5.296
6.988 2.395 2.344
7.647 5.053 7.027
7.647 9.315 7.027
10.039 0.263 3.207
10.039 4.526 3.207
10.698 7.184 6.165
1.427 7.184 1.203
4.468 2.395 5.024
7.323 7.184 2.617
10.364 2.395 6.437
0.127 2.395 4.153
1.371 4.938 7.360
1.371 9.430 7.360
2.015 2.395 6.300
3.881 7.184 2.480
4.524 0.148 3.540
4.524 4.641 3.540
5.769 7.184 0.333
6.022 2.395 7.308
7.267 4.938 4.101
7.267 9.430 4.101
7.910 2.395 5.161
9.776 7.184 1.340
10.420 0.148 0.281
10.420 4.641 0.281
11.664 7.184 3.488
```

Principal peaks in the range 10° ≤ 2θ ≤ 80°, in order of rising 2θ:
2theta	I (rel.)
23.28	20.5
26.67	48.5
29.92	60.8
30.32	54.2
31.69	38.6
31.87	33.2
34.04	26.1
35.77	23.4
37.56	69.1
38.51	32.6
40.85	49.8
43.10	100.0

=====

11.
This entry pairs a crystal structure of TlSnAu5 with its computed powder XRD pattern. Radiation: a wavelength of 1.5418 Å. Structure: a crystal structure in Alexandria, relaxed with PBE.
Kinematic intensities with the Lorentz-polarization factor, no thermal factor.

Structural model:
```
TlSnAu5
1.0
9.016 0.000 0.000
0.000 5.917 0.000
0.000 0.000 11.402
Tl Sn Au
4 4 20
Cartesian
2.136 1.479 0.576
2.372 4.438 6.277
6.644 1.479 5.125
6.880 4.438 10.826
1.403 4.438 9.668
3.105 1.479 3.967
5.911 4.438 7.435
7.613 1.479 1.734
0.628 0.069 3.397
0.628 2.890 3.397
0.659 1.479 5.942
1.009 4.438 0.959
1.511 1.479 8.977
2.997 4.438 3.276
3.499 1.479 6.661
3.849 4.438 0.241
3.880 3.027 9.098
3.880 5.848 9.098
5.136 0.069 2.304
5.136 2.890 2.304
5.167 1.479 11.162
5.517 4.438 4.742
6.019 1.479 8.127
7.505 4.438 2.426
8.007 1.479 10.443
8.357 4.438 5.461
8.388 3.027 8.005
8.388 5.848 8.005
```

Principal peaks in the range 10° ≤ 2θ ≤ 80°, in order of rising 2θ:
2theta	I (rel.)
30.21	23.1
32.96	66.5
34.15	37.8
34.38	100.0
36.32	20.6
37.20	41.0
39.89	51.6
40.42	30.7
40.81	49.0
43.67	41.4
56.38	21.0
72.47	21.3

=====

12.
This entry pairs a crystal structure of Tl2SnAu4 with its computed powder XRD pattern. Radiation: a wavelength of 1.5418 Å. Structure: a crystal structure in Alexandria, relaxed with PBE.
Kinematic intensities with the Lorentz-polarization factor, no thermal factor.

Structural model:
```
Tl2SnAu4
1.0
5.495 0.000 0.000
2.554 4.871 0.000
1.568 2.151 7.046
Tl Sn Au
2 1 4
Cartesian
0.836 1.087 1.233
8.780 5.935 5.813
4.808 3.511 3.523
2.061 3.511 3.523
3.400 2.820 1.126
3.532 1.075 3.523
6.217 4.202 5.920
```

Principal peaks in the range 10° ≤ 2θ ≤ 80°, in order of rising 2θ:
2theta	I (rel.)
19.81	42.6
22.80	52.3
27.02	30.6
30.51	34.5
32.59	32.2
36.02	58.9
36.97	52.1
37.30	39.0
37.92	53.3
38.31	100.0
38.66	66.4
40.25	27.1

=====

13.
This entry pairs a crystal structure of Tl4SnAu5 with its computed powder XRD pattern. Radiation: a wavelength of 1.5418 Å. Structure: a crystal structure in Alexandria, relaxed with PBE.
Kinematic intensities with the Lorentz-polarization factor, no thermal factor.

Structural model:
```
Tl4SnAu5
1.0
-4.819 4.819 2.636
4.819 -4.819 2.636
4.819 4.819 -2.636
Tl Sn Au
4 1 5
Cartesian
3.022 0.000 0.000
6.616 0.000 0.000
0.000 3.022 0.000
0.000 6.616 0.000
0.000 0.000 3.505
0.000 0.000 0.864
2.964 2.964 -0.243
1.856 -1.856 2.394
-1.856 1.856 2.394
1.856 1.856 2.394
```

Principal peaks in the range 10° ≤ 2θ ≤ 80°, in order of rising 2θ:
2theta	I (rel.)
32.64	100.0
34.01	17.6
37.32	10.4
37.73	11.4
38.94	18.4
39.67	38.0
50.40	13.6
53.23	14.3
57.36	9.9
60.00	13.0
66.80	11.1
67.57	13.4